This entry pairs a crystal structure of Pr3Sm8Y with its simulated powder diffraction line list. Radiation: CuKα. Structure: the PBE geometry in Alexandria.
Kinematic intensities with the Lorentz-polarization factor, no thermal factor.

Cell and atoms:
a = 15.748 Å, b = 8.880 Å, c = 6.505 Å
α = 90.00°, β = 114.37°, γ = 90.00°
Space group C2 (No. 5)
One atom of each set of equivalent atoms:
Pr (0.000, 0.000, 0.000) [2 per cell]
Pr (0.128, 0.052, 0.637) [4 per cell]
Sm (0.069, 0.693, 0.321) [4 per cell]
Sm (0.126, 0.334, 0.111) [4 per cell]
Sm (0.170, 0.693, 0.926) [4 per cell]
Sm (0.248, 0.444, 0.655) [4 per cell]
Y (0.000, 0.382, 0.500) [2 per cell]

Largest 6 diffraction maxima, low angle first, 2θ = 15–90°:
two_theta  I (rel.)  (hkl)
25.06  20  2 2 -1
29.91  59  3 1 -2
30.18  100  5 1 -1
30.72  46  2 2 1
30.84  39  1 3 0
34.17  46  2 2 -2